Entry 1:
Cu5Ag4: simulated PXRD pattern (CuKα), based on a PBE-relaxed structure.
Neutral-atom scattering factors, no anomalous dispersion.

Top 8 peaks for 15 to 90 degrees two-theta, in order of rising 2θ:
h k l  Position (°2θ)  Rel. int.
1 1 -2  36.16  178
2 0 3  40.11  555
4 0 -3  40.16  443
1 1 -3  40.81  1000
3 1 0  44.80  864
1 1 6  70.52  184
5 1 3  78.96  209
2 2 3  80.31  234

Atomic structure:
a b c (Å): 9.3928 2.8239 10.6654
angles (deg): 90.00 112.18 90.00
Space group Cm (No. 8)
Symmetry-distinct sites (fractional):
Cu (0.0000, 0.0000, 0.0000)
Cu (0.0172, 0.0000, 0.3360)
Cu (0.1883, 0.5000, 0.9385)
Cu (0.3202, 0.0000, 0.8173)
Cu (0.3710, 0.0000, 0.1241)
Ag (0.0037, 0.0000, 0.7202)
Ag (0.1728, 0.5000, 0.5800)
Ag (0.1841, 0.5000, 0.2151)
Ag (0.3515, 0.0000, 0.4576)

Entry 2:
Hf3NiAs4Pd3: simulated PXRD pattern (CuKα), based on a PBE-relaxed structure.
Neutral-atom scattering factors, no anomalous dispersion.

Top 8 peaks for 15 to 90 degrees two-theta, in order of rising 2θ:
h k l  Position (°2θ)  Rel. int.
1 1 -2  35.61  412
2 1 0  35.84  1000
2 1 -1  37.73  588
1 0 -3  37.90  722
0 1 3  42.48  450
2 0 -3  44.94  372
0 2 0  46.60  468
3 0 2  48.36  192

Atomic structure:
a b c (Å): 6.5341 3.8980 7.6191
angles (deg): 90.00 90.61 90.00
Space group Pm (No. 6)
Symmetry-distinct sites (fractional):
Hf (0.0000, 0.0000, 0.0000)
Hf (0.0751, 0.5000, 0.3730)
Hf (0.5015, 0.0000, 0.8606)
Ni (0.3898, 0.0000, 0.2329)
As (0.2909, 0.5000, 0.0694)
As (0.3291, 0.0000, 0.5406)
As (0.7748, 0.5000, 0.7985)
As (0.7798, 0.0000, 0.3126)
Pd (0.1879, 0.5000, 0.7460)
Pd (0.6832, 0.5000, 0.1237)
Pd (0.9143, 0.0000, 0.6208)

Entry 3:
AsIr17: simulated PXRD pattern (CuKα), based on a PBE-relaxed structure.
Neutral-atom scattering factors, no anomalous dispersion.

Top 8 peaks for 15 to 90 degrees two-theta, in order of rising 2θ:
h k l  Position (°2θ)  Rel. int.
0 0 14  38.70  285
2 0 4  39.85  425
2 0 5  40.74  1000
0 0 15  41.59  261
0 2 9  45.98  391
0 2 10  47.66  597
2 2 0  69.11  331
2 2 15  83.99  212

Atomic structure:
a b c (Å): 5.4382 5.4382 32.5679
angles (deg): 90.00 90.00 120.00
Space group P-3m1 (No. 164)
Symmetry-distinct sites (fractional):
As (0.3333, 0.6667, 0.2783)
Ir (0.0000, 0.0000, 0.0000)
Ir (0.0000, 0.0000, 0.2062)
Ir (0.0000, 0.5000, 0.0000)
Ir (0.0009, 0.5004, 0.2059)
Ir (0.1656, 0.3312, 0.7266)
Ir (0.1667, 0.3333, 0.1376)
Ir (0.1667, 0.3335, 0.9313)
Ir (0.3333, 0.6667, 0.0685)
Ir (0.3333, 0.6667, 0.8631)